This entry pairs a crystal structure of Sm8N5 with its calculated X-ray diffraction stick pattern. Radiation: CuKα. Structure: the GGA-PBE geometry in Alexandria.
No peak broadening, texture or thermal motion is included.

Crystal structure
Cell: 7.0746 7.0746 8.6540 Å, 127.30 127.30 60.36°
Positions (direct):
Sm (0.0224, 0.0224, 0.3190)
Sm (0.0282, 0.5493, 0.8400)
Sm (0.4507, 0.9718, 0.1600)
Sm (0.4749, 0.4749, 0.6684)
Sm (0.5251, 0.5251, 0.3316)
Sm (0.5493, 0.0282, 0.8400)
Sm (0.9718, 0.4507, 0.1600)
Sm (0.9776, 0.9776, 0.6810)
N (0.0000, 0.0000, 0.0000)
N (0.2488, 0.7512, 0.5000)
N (0.2564, 0.2564, 0.9986)
N (0.7436, 0.7436, 0.0014)
N (0.7512, 0.2488, 0.5000)

Most intense lines, 2θ = 10–80°, sorted by position:
2θ (°), I/Imax
28.96, 35
29.21, 48
32.46, 100
32.60, 97
41.70, 28
51.33, 40
53.82, 21
54.08, 18
59.93, 14
62.18, 16